The following is a calculated powder XRD pattern of CaSiBCl2. It was derived from a structure optimized by DFT (PBE), using λ = 1.5418 Å (Cu Kα).
Peak positions follow from Bragg's law for the DFT cell and can differ from measured ones.

Structure:
```
CaSiBCl2
1.0
4.815 0.000 0.000
0.000 4.815 0.000
0.000 0.000 5.986
Ca Si B Cl
1 1 1 2
Cartesian
0.000 0.000 0.000 Ca
0.000 0.000 2.993 Si
2.407 2.407 0.000 B
0.000 2.407 2.993 Cl
2.407 0.000 2.993 Cl
```

Top 10 peaks for 2θ = 10–80°, by intensity:
| two_theta | I (rel.) |
| --- | --- |
| 30.20 | 100 |
| 18.43 | 78 |
| 37.35 | 68 |
| 29.85 | 67 |
| 48.53 | 59 |
| 14.80 | 46 |
| 35.31 | 28 |
| 62.80 | 25 |
| 53.85 | 21 |
| 62.99 | 18 |

The following is a calculated powder XRD pattern of NpTlBr6. It was derived from a structure optimized by DFT (PBE), using λ = 1.5418 Å (Cu Kα).
Peak positions follow from Bragg's law for the DFT cell and can differ from measured ones.

Structure:
```
NpTlBr6
1.0
7.375 0.000 0.000
3.679 6.394 0.000
3.686 2.124 6.782
Np Tl Br
1 1 6
Cartesian
0.000 0.000 0.000 Np
7.370 4.259 3.391 Tl
6.045 6.753 5.230 Br
4.551 4.365 1.548 Br
5.875 1.865 5.230 Br
8.866 6.653 1.552 Br
10.190 4.152 5.235 Br
8.696 1.765 1.552 Br
```

Top 10 peaks for 2θ = 10–80°, by intensity:
| two_theta | I (rel.) |
| --- | --- |
| 16.38 | 100 |
| 35.97 | 71 |
| 22.34 | 58 |
| 27.52 | 49 |
| 29.30 | 33 |
| 42.43 | 32 |
| 41.38 | 28 |
| 38.30 | 27 |
| 52.23 | 15 |
| 54.85 | 15 |

The following is a calculated powder XRD pattern of HoPu3As4. It was derived from a structure optimized by DFT (PBE), using λ = 1.5418 Å (Cu Kα).
Peak positions follow from Bragg's law for the DFT cell and can differ from measured ones.

Structure:
```
HoPu3As4
1.0
5.832 0.000 0.000
0.000 5.832 0.000
0.000 0.000 5.832
Ho Pu As
1 3 4
Cartesian
0.000 0.000 0.000 Ho
0.000 2.916 2.916 Pu
2.916 0.000 2.916 Pu
2.916 2.916 0.000 Pu
0.000 0.000 2.916 As
0.000 2.916 0.000 As
2.916 0.000 0.000 As
2.916 2.916 2.916 As
```

Top 10 peaks for 2θ = 10–80°, by intensity:
| two_theta | I (rel.) |
| --- | --- |
| 30.66 | 100 |
| 43.91 | 76 |
| 26.47 | 42 |
| 72.48 | 35 |
| 54.50 | 27 |
| 52.01 | 21 |
| 63.84 | 13 |
| 70.37 | 9 |
| 15.19 | 2 |
| 21.55 | 2 |

The following is a calculated powder XRD pattern of CsIn4Hg2Pb. It was derived from a structure optimized by DFT (PBE), using λ = 1.5418 Å (Cu Kα).
Peak positions follow from Bragg's law for the DFT cell and can differ from measured ones.

Structure:
```
CsIn4Hg2Pb
1.0
5.225 0.000 0.000
0.000 5.225 0.000
0.000 0.000 9.811
Cs In Hg Pb
1 4 2 1
Cartesian
0.000 0.000 0.000 Cs
0.000 2.612 3.096 In
0.000 2.612 6.715 In
2.612 0.000 3.096 In
2.612 0.000 6.715 In
2.612 2.612 1.485 Hg
2.612 2.612 8.327 Hg
0.000 0.000 4.906 Pb
```

Top 10 peaks for 2θ = 10–80°, by intensity:
| two_theta | I (rel.) |
| --- | --- |
| 34.33 | 100 |
| 36.70 | 94 |
| 24.90 | 67 |
| 30.29 | 53 |
| 19.25 | 52 |
| 63.04 | 39 |
| 40.63 | 37 |
| 49.33 | 36 |
| 25.77 | 35 |
| 42.87 | 32 |

The following is a calculated powder XRD pattern of Pt5Se. It was derived from a structure optimized by DFT (PBE), using λ = 1.5418 Å (Cu Kα).
Peak positions follow from Bragg's law for the DFT cell and can differ from measured ones.

Structure:
```
Pt5Se
1.0
3.001 0.000 0.000
0.000 3.001 0.000
0.000 0.000 10.754
Pt Se
5 1
Cartesian
0.000 0.000 0.000 Pt
0.000 0.000 3.616 Pt
0.000 0.000 7.138 Pt
1.501 1.501 1.761 Pt
1.501 1.501 8.993 Pt
1.501 1.501 5.377 Se
```

Top 10 peaks for 2θ = 10–80°, by intensity:
| two_theta | I (rel.) |
| --- | --- |
| 39.15 | 100 |
| 42.60 | 40 |
| 75.66 | 30 |
| 68.53 | 19 |
| 61.83 | 13 |
| 50.95 | 12 |
| 30.94 | 3 |
| 34.22 | 2 |
| 16.49 | 1 |
| 29.77 | 1 |

The following is a calculated powder XRD pattern of Ac2Th2O7. It was derived from a structure optimized by DFT (PBE), using λ = 1.5418 Å (Cu Kα).
Peak positions follow from Bragg's law for the DFT cell and can differ from measured ones.

Structure:
```
Ac2Th2O7
1.0
0.000 5.814 5.814
5.814 0.000 5.814
5.814 5.814 0.000
Ac Th O
4 4 14
Cartesian
0.000 0.000 0.000 Ac
2.907 2.907 0.000 Ac
2.907 0.000 2.907 Ac
0.000 2.907 2.907 Ac
5.814 2.907 2.907 Th
2.907 5.814 2.907 Th
2.907 2.907 5.814 Th
5.814 5.814 5.814 Th
1.453 1.453 1.453 O
4.360 4.360 1.831 O
4.360 1.831 4.360 O
6.889 4.360 4.360 O
7.267 7.267 4.738 O
7.267 4.738 7.267 O
9.796 7.267 7.267 O
1.831 4.360 4.360 O
4.360 6.889 4.360 O
4.360 4.360 6.889 O
4.738 7.267 7.267 O
7.267 9.796 7.267 O
7.267 7.267 9.796 O
10.174 10.174 10.174 O
```

Top 8 peaks for 2θ = 10–80°, by intensity:
| two_theta | I (rel.) |
| --- | --- |
| 26.56 | 100 |
| 52.18 | 49 |
| 44.06 | 48 |
| 30.76 | 40 |
| 70.62 | 20 |
| 72.75 | 17 |
| 54.69 | 12 |
| 64.07 | 8 |

The following is a calculated powder XRD pattern of Rb3ReBr8. It was derived from a structure optimized by DFT (PBE), using λ = 1.5418 Å (Cu Kα).
Peak positions follow from Bragg's law for the DFT cell and can differ from measured ones.

Structure:
```
Rb3ReBr8
1.0
10.374 0.000 0.000
-5.187 8.984 0.000
0.000 0.000 9.500
Rb Re Br
6 2 16
Cartesian
0.000 2.717 0.000 Rb
-2.834 7.626 0.000 Rb
2.353 1.358 4.750 Rb
2.834 7.626 0.000 Rb
8.022 1.358 4.750 Rb
5.187 6.268 4.750 Rb
0.000 5.990 4.205 Re
5.187 2.995 8.954 Re
0.000 0.000 2.431 Br
0.000 0.000 7.181 Br
-1.763 4.972 2.779 Br
0.000 3.943 5.689 Br
-1.772 7.013 5.689 Br
0.000 5.990 9.042 Br
3.415 1.972 0.939 Br
1.763 4.972 2.779 Br
0.000 8.026 2.779 Br
5.187 0.959 7.529 Br
3.424 4.013 7.529 Br
1.772 7.013 5.689 Br
5.187 2.995 4.292 Br
6.959 1.972 0.939 Br
5.187 5.041 0.939 Br
6.951 4.013 7.529 Br
```

Top 10 peaks for 2θ = 10–80°, by intensity:
| two_theta | I (rel.) |
| --- | --- |
| 27.33 | 100 |
| 34.61 | 68 |
| 13.57 | 62 |
| 31.32 | 48 |
| 17.09 | 44 |
| 21.89 | 44 |
| 32.41 | 39 |
| 52.97 | 27 |
| 39.59 | 24 |
| 40.90 | 23 |